1.
For Y2TaAl, a DFT-relaxed cell (GGA-PBE, Alexandria) gives the theoretical X-ray powder pattern in this record (Cu Kα, 1.54184 Å).
Intensities are scaled so that the largest is 100.

Most intense lines, 2θ = 10–90°, low angle first:
2θ/deg  Rel. int.
31.4  18
33.4  100
34.6  13
35.1  29
37.5  12
39.3  64
55.7  23
57.9  20
66.5  16
67.5  26

Crystal structure
```
Y2TaAl
1.0
1.652 0.953 10.233
-1.652 0.953 10.233
0.000 -1.907 10.233
Y Ta Al
2 1 1
direct
0.250 0.250 0.250 Y
0.750 0.750 0.750 Y
0.000 0.000 0.000 Ta
0.500 0.500 0.500 Al
```

***

2.
For Pr2Sm2Te2Se3, a DFT-relaxed cell (GGA-PBE, Alexandria) gives the theoretical X-ray powder pattern in this record (Cu Kα, 1.54184 Å).
Intensities are scaled so that the largest is 100.

Most intense lines, 2θ = 10–90°, low angle first:
2θ/deg  Rel. int.
22.1  15
31.2  100
31.3  50
31.9  60
44.7  37
45.2  48
55.6  19
55.9  18
65.5  18
73.9  21

Crystal structure
```
Pr2Sm2Te2Se3
1.0
-2.868 2.868 8.030
2.868 -2.868 8.030
2.868 2.868 -8.030
Pr Sm Te Se
2 2 2 3
direct
0.196 0.196 0.000 Pr
0.804 0.804 0.000 Pr
0.000 0.500 0.500 Sm
0.500 0.000 0.500 Sm
0.395 0.395 0.000 Te
0.605 0.605 0.000 Te
0.000 0.000 0.000 Se
0.250 0.750 0.500 Se
0.750 0.250 0.500 Se
```

***

3.
For Y3Ga5Pd6, a DFT-relaxed cell (GGA-PBE, Alexandria) gives the theoretical X-ray powder pattern in this record (Cu Kα, 1.54184 Å).
Intensities are scaled so that the largest is 100.

Most intense lines, 2θ = 10–90°, low angle first:
2θ/deg  Rel. int.
33.8  17
35.3  100
36.5  58
39.1  46
40.1  30
41.2  29
41.5  60
46.1  17
46.1  18
59.9  21

Crystal structure
```
Y3Ga5Pd6
1.0
4.350 0.000 0.000
0.000 13.138 0.000
0.000 0.000 8.956
Y Ga Pd
6 10 12
direct
0.250 0.053 0.244 Y
0.250 0.447 0.244 Y
0.250 0.750 0.239 Y
0.750 0.250 0.761 Y
0.750 0.553 0.756 Y
0.750 0.947 0.756 Y
0.250 0.090 0.877 Ga
0.250 0.410 0.877 Ga
0.250 0.630 0.532 Ga
0.250 0.750 0.782 Ga
0.250 0.870 0.532 Ga
0.750 0.130 0.468 Ga
0.750 0.250 0.218 Ga
0.750 0.370 0.468 Ga
0.750 0.590 0.123 Ga
0.750 0.910 0.123 Ga
0.250 0.064 0.595 Pd
0.250 0.250 0.047 Pd
0.250 0.250 0.422 Pd
0.250 0.436 0.595 Pd
0.250 0.603 0.977 Pd
0.250 0.897 0.977 Pd
0.750 0.103 0.023 Pd
0.750 0.397 0.023 Pd
0.750 0.564 0.405 Pd
0.750 0.750 0.578 Pd
0.750 0.750 0.953 Pd
0.750 0.936 0.405 Pd
```

***

4.
For Ac3Ce2Ru4, a DFT-relaxed cell (GGA-PBE, Alexandria) gives the theoretical X-ray powder pattern in this record (Cu Kα, 1.54184 Å).
Intensities are scaled so that the largest is 100.

Most intense lines, 2θ = 10–90°, low angle first:
2θ/deg  Rel. int.
22.7  44
26.7  68
30.6  100
31.6  38
32.3  65
32.9  74
33.9  54
35.7  42
40.0  27
49.3  24

Crystal structure
```
Ac3Ce2Ru4
1.0
7.745 -5.026 0.000
7.745 5.026 0.000
-1.072 0.000 6.225
Ac Ce Ru
6 4 8
direct
0.132 0.868 0.750 Ac
0.286 0.500 0.374 Ac
0.500 0.286 0.874 Ac
0.500 0.714 0.126 Ac
0.714 0.500 0.626 Ac
0.868 0.132 0.250 Ac
0.097 0.289 0.972 Ce
0.289 0.097 0.472 Ce
0.711 0.903 0.528 Ce
0.903 0.711 0.028 Ce
0.069 0.340 0.492 Ru
0.160 0.554 0.869 Ru
0.340 0.069 0.992 Ru
0.446 0.840 0.631 Ru
0.554 0.160 0.369 Ru
0.660 0.931 0.008 Ru
0.840 0.446 0.131 Ru
0.931 0.660 0.508 Ru
```

***

5.
For Mg4PaN4, a DFT-relaxed cell (GGA-PBE, Alexandria) gives the theoretical X-ray powder pattern in this record (Cu Kα, 1.54184 Å).
Intensities are scaled so that the largest is 100.

Most intense lines, 2θ = 10–90°, low angle first:
2θ/deg  Rel. int.
15.2  99
21.6  35
25.9  100
30.7  24
33.9  71
34.4  64
40.6  26
46.4  36
51.7  33
60.4  25

Crystal structure
```
Mg4PaN4
1.0
-4.120 4.120 1.895
4.120 -4.120 1.895
4.120 4.120 -1.895
Mg Pa N
4 1 4
direct
0.155 0.341 0.496 Mg
0.341 0.845 0.186 Mg
0.659 0.155 0.814 Mg
0.845 0.659 0.504 Mg
0.500 0.500 0.000 Pa
0.245 0.584 0.829 N
0.416 0.245 0.661 N
0.584 0.755 0.339 N
0.755 0.416 0.171 N
```

***

6.
For TbCo6Ge4, a DFT-relaxed cell (GGA-PBE, Alexandria) gives the theoretical X-ray powder pattern in this record (Cu Kα, 1.54184 Å).
Intensities are scaled so that the largest is 100.

Most intense lines, 2θ = 10–90°, low angle first:
2θ/deg  Rel. int.
35.9  49
39.1  100
40.6  46
47.7  28
49.2  29
52.9  26
54.0  28
62.2  14
65.6  21
76.1  20

Crystal structure
```
TbCo6Ge4
1.0
6.788 0.000 0.000
-3.394 5.878 0.000
0.000 0.000 3.706
Tb Co Ge
1 6 4
direct
0.000 0.000 0.000 Tb
0.206 0.412 0.500 Co
0.206 0.794 0.500 Co
0.535 0.070 0.000 Co
0.535 0.465 0.000 Co
0.588 0.794 0.500 Co
0.930 0.465 0.000 Co
0.333 0.667 0.000 Ge
0.390 0.195 0.500 Ge
0.805 0.195 0.500 Ge
0.805 0.610 0.500 Ge
```

***

7.
For DyTmFeCu, a DFT-relaxed cell (GGA-PBE, Alexandria) gives the theoretical X-ray powder pattern in this record (Cu Kα, 1.54184 Å).
Intensities are scaled so that the largest is 100.

Most intense lines, 2θ = 10–90°, low angle first:
2θ/deg  Rel. int.
26.5  24
37.8  100
46.8  7
54.6  17
61.7  10
68.3  34
80.8  11
86.9  5

Crystal structure
```
DyTmFeCu
1.0
0.000 3.363 3.363
3.363 0.000 3.363
3.363 3.363 0.000
Dy Tm Fe Cu
1 1 1 1
direct
0.000 0.000 0.000 Dy
0.500 0.500 0.500 Tm
0.250 0.250 0.250 Fe
0.750 0.750 0.750 Cu
```

***

8.
For Tb3Er6Sc, a DFT-relaxed cell (GGA-PBE, Alexandria) gives the theoretical X-ray powder pattern in this record (Cu Kα, 1.54184 Å).
Intensities are scaled so that the largest is 100.

Most intense lines, 2θ = 10–90°, low angle first:
2θ/deg  Rel. int.
29.7  81
32.0  100
42.5  11
44.3  27
55.7  27
57.1  19
58.4  20
67.0  12
75.0  11
77.3  14

Crystal structure
```
Tb3Er6Sc
1.0
4.840 2.794 3.834
-4.840 2.794 3.834
0.000 -5.589 3.834
Tb Er Sc
3 6 1
direct
0.000 0.000 0.000 Tb
0.248 0.248 0.248 Tb
0.741 0.741 0.741 Tb
0.080 0.727 0.404 Er
0.241 0.573 0.896 Er
0.404 0.080 0.727 Er
0.573 0.896 0.241 Er
0.727 0.404 0.080 Er
0.896 0.241 0.573 Er
0.497 0.497 0.497 Sc
```

***

9.
For Mn2ZnC, a DFT-relaxed cell (GGA-PBE, Alexandria) gives the theoretical X-ray powder pattern in this record (Cu Kα, 1.54184 Å).
Intensities are scaled so that the largest is 100.

Most intense lines, 2θ = 10–90°, low angle first:
2θ/deg  Rel. int.
36.5  33
41.0  100
42.7  32
43.6  65
53.4  16
65.2  30
75.4  12
80.0  12
80.6  12
81.1  26

Crystal structure
```
Mn2ZnC
1.0
1.431 0.826 6.346
-1.431 0.826 6.346
0.000 -1.653 6.346
Mn Zn C
2 1 1
direct
0.222 0.222 0.222 Mn
0.778 0.778 0.778 Mn
0.000 0.000 0.000 Zn
0.500 0.500 0.500 C
```

***

10.
For TlCd, a DFT-relaxed cell (GGA-PBE, Alexandria) gives the theoretical X-ray powder pattern in this record (Cu Kα, 1.54184 Å).
Intensities are scaled so that the largest is 100.

Most intense lines, 2θ = 10–90°, low angle first:
2θ/deg  Rel. int.
27.9  13
32.5  100
37.4  37
38.4  12
47.7  8
53.9  13
54.6  18
56.0  8
64.4  28
68.1  9

Crystal structure
```
TlCd
1.0
3.403 0.000 0.000
0.000 3.403 0.000
0.000 0.000 9.382
Tl Cd
2 2
direct
0.250 0.250 0.149 Tl
0.750 0.750 0.851 Tl
0.250 0.250 0.605 Cd
0.750 0.750 0.395 Cd
```

***

11.
For Dy6ScTl2, a DFT-relaxed cell (GGA-PBE, Alexandria) gives the theoretical X-ray powder pattern in this record (Cu Kα, 1.54184 Å).
Intensities are scaled so that the largest is 100.

Most intense lines, 2θ = 10–90°, low angle first:
2θ/deg  Rel. int.
30.6  58
31.4  55
33.0  100
33.1  54
38.0  39
40.1  23
50.5  15
51.8  18
56.9  18
58.5  18

Crystal structure
```
Dy6ScTl2
1.0
7.544 -5.697 0.000
7.544 5.697 0.000
-0.489 0.000 6.081
Dy Sc Tl
12 2 4
direct
0.081 0.810 0.991 Dy
0.147 0.408 0.163 Dy
0.190 0.919 0.509 Dy
0.240 0.527 0.683 Dy
0.408 0.147 0.663 Dy
0.473 0.760 0.817 Dy
0.527 0.240 0.183 Dy
0.592 0.853 0.337 Dy
0.760 0.473 0.317 Dy
0.810 0.081 0.491 Dy
0.853 0.592 0.837 Dy
0.919 0.190 0.009 Dy
0.400 0.600 0.250 Sc
0.600 0.400 0.750 Sc
0.042 0.279 0.582 Tl
0.279 0.042 0.082 Tl
0.721 0.958 0.918 Tl
0.958 0.721 0.418 Tl
```

***

12.
For Sm3SiIr3, a DFT-relaxed cell (GGA-PBE, Alexandria) gives the theoretical X-ray powder pattern in this record (Cu Kα, 1.54184 Å).
Intensities are scaled so that the largest is 100.

Most intense lines, 2θ = 10–90°, low angle first:
2θ/deg  Rel. int.
28.2  21
32.3  29
32.7  100
33.8  66
34.1  27
39.9  32
40.2  49
41.2  22
44.5  40
66.2  21

Crystal structure
```
Sm3SiIr3
1.0
5.268 -2.037 0.000
5.268 2.037 0.000
-4.805 0.000 14.010
Sm Si Ir
6 2 6
direct
0.014 0.014 0.381 Sm
0.109 0.109 0.926 Sm
0.243 0.243 0.223 Sm
0.757 0.757 0.777 Sm
0.891 0.891 0.074 Sm
0.986 0.986 0.619 Sm
0.272 0.272 0.611 Si
0.728 0.728 0.389 Si
0.331 0.331 0.461 Ir
0.384 0.384 0.923 Ir
0.458 0.458 0.761 Ir
0.542 0.542 0.239 Ir
0.616 0.616 0.077 Ir
0.669 0.669 0.539 Ir
```

***

Number 8 is which compound?
Tb3Er6Sc